# 1
Diffraction record for K2PaAg3Br12. The powder X-ray diffraction pattern is calculated, not measured: it uses a DFT-relaxed cell (PBE, Alexandria) and λ = 1.5418 Å (Cu Kα).
Lines closer than 0.1° are merged.

The 12 most intense peaks (2θ = 10–80°), in order of rising 2θ:
| 2θ/deg | d (Å) | I_rel |
| --- | --- | --- |
| 11.3 | 7.844 | 100 |
| 15.9 | 5.562 | 29 |
| 17.4 | 5.091 | 22 |
| 18.2 | 4.881 | 36 |
| 20.9 | 4.257 | 32 |
| 22.7 | 3.922 | 36 |
| 31.4 | 2.847 | 22 |
| 32.2 | 2.781 | 60 |
| 32.6 | 2.749 | 22 |
| 34.3 | 2.615 | 23 |
| 38.4 | 2.343 | 44 |
| 42.8 | 2.114 | 31 |

Structure:
Lattice parameters (Å, degrees): 11.5302 11.5302 11.5302 47.96 47.96 47.96
Element x y z (fractional)
1 K 0.0697 0.0697 0.0697
2 K 0.9303 0.9303 0.9303
3 Pa 0.5000 0.5000 0.5000
4 Ag 0.0000 0.5000 0.5000
5 Ag 0.5000 0.0000 0.5000
6 Ag 0.5000 0.5000 0.0000
7 Br 0.1682 0.1682 0.5837
8 Br 0.1682 0.5837 0.1682
9 Br 0.1739 0.5864 0.5864
10 Br 0.4136 0.4136 0.8261
11 Br 0.4136 0.8261 0.4136
12 Br 0.4163 0.8318 0.8318
13 Br 0.5837 0.1682 0.1682
14 Br 0.5864 0.1739 0.5864
15 Br 0.5864 0.5864 0.1739
16 Br 0.8261 0.4136 0.4136
17 Br 0.8318 0.4163 0.8318
18 Br 0.8318 0.8318 0.4163



# 2
Diffraction record for KPmAgBr5. The powder X-ray diffraction pattern is calculated, not measured: it uses a DFT-relaxed cell (PBE, Alexandria) and λ = 1.5418 Å (Cu Kα).
Lines closer than 0.1° are merged.

The 12 most intense peaks (2θ = 10–80°), in order of rising 2θ:
| 2θ/deg | d (Å) | I_rel |
| --- | --- | --- |
| 12.3 | 7.203 | 68 |
| 18.2 | 4.885 | 100 |
| 20.6 | 4.314 | 53 |
| 22.4 | 3.976 | 77 |
| 23.5 | 3.784 | 58 |
| 25.9 | 3.437 | 89 |
| 30.3 | 2.950 | 52 |
| 34.1 | 2.633 | 44 |
| 37.5 | 2.401 | 58 |
| 38.4 | 2.343 | 56 |
| 38.5 | 2.337 | 49 |
| 44.0 | 2.057 | 44 |

Structure:
Lattice parameters (Å, degrees): 8.0241 8.0241 10.7937 102.47 102.47 109.18
Element x y z (fractional)
1 K 0.1444 0.8556 0.7500
2 K 0.8556 0.1444 0.2500
3 Pm 0.5000 0.5000 0.0000
4 Pm 0.5000 0.5000 0.5000
5 Ag 0.1876 0.8124 0.2500
6 Ag 0.8124 0.1876 0.7500
7 Br 0.1248 0.2433 0.9445
8 Br 0.1809 0.5743 0.3925
9 Br 0.2433 0.1248 0.4445
10 Br 0.4146 0.5854 0.7500
11 Br 0.4257 0.8191 0.1075
12 Br 0.5743 0.1809 0.8925
13 Br 0.5854 0.4146 0.2500
14 Br 0.7567 0.8752 0.5555
15 Br 0.8191 0.4257 0.6075
16 Br 0.8752 0.7567 0.0555



# 3
Diffraction record for KPr2AgBr8. The powder X-ray diffraction pattern is calculated, not measured: it uses a DFT-relaxed cell (PBE, Alexandria) and λ = 1.5418 Å (Cu Kα).
Lines closer than 0.1° are merged.

The 12 most intense peaks (2θ = 10–80°), in order of rising 2θ:
| 2θ/deg | d (Å) | I_rel |
| --- | --- | --- |
| 16.7 | 5.312 | 86 |
| 18.4 | 4.817 | 53 |
| 23.5 | 3.783 | 36 |
| 26.0 | 3.429 | 86 |
| 27.1 | 3.285 | 38 |
| 28.8 | 3.104 | 44 |
| 33.3 | 2.691 | 30 |
| 33.8 | 2.653 | 100 |
| 35.6 | 2.520 | 47 |
| 37.3 | 2.409 | 26 |
| 40.2 | 2.245 | 35 |
| 42.4 | 2.131 | 65 |

Structure:
Lattice parameters (Å, degrees): 7.0516 8.9817 7.2964 90.00 95.60 90.00
Element x y z (fractional)
1 K 0.0000 0.0000 0.0000
2 Pr 0.5000 0.2574 0.5000
3 Pr 0.5000 0.7426 0.5000
4 Ag 0.0000 0.5000 0.0000
5 Br 0.2424 0.2776 0.1680
6 Br 0.2424 0.7224 0.1680
7 Br 0.2777 0.5000 0.6498
8 Br 0.2875 0.0000 0.6419
9 Br 0.7125 0.0000 0.3581
10 Br 0.7223 0.5000 0.3502
11 Br 0.7576 0.2776 0.8320
12 Br 0.7576 0.7224 0.8320



# 4
Diffraction record for KPrAg2Br8. The powder X-ray diffraction pattern is calculated, not measured: it uses a DFT-relaxed cell (PBE, Alexandria) and λ = 1.5418 Å (Cu Kα).
Lines closer than 0.1° are merged.

The 12 most intense peaks (2θ = 10–80°), in order of rising 2θ:
| 2θ/deg | d (Å) | I_rel |
| --- | --- | --- |
| 11.6 | 7.619 | 21 |
| 13.5 | 6.541 | 22 |
| 20.9 | 4.250 | 100 |
| 21.4 | 4.158 | 37 |
| 28.2 | 3.168 | 76 |
| 29.2 | 3.057 | 82 |
| 34.2 | 2.625 | 59 |
| 35.0 | 2.560 | 41 |
| 39.6 | 2.275 | 42 |
| 40.6 | 2.219 | 20 |
| 41.2 | 2.193 | 79 |
| 54.4 | 1.686 | 29 |

Structure:
Lattice parameters (Å, degrees): 9.1801 9.1801 9.1801 133.54 133.54 67.81
Element x y z (fractional)
1 K 0.0000 0.0000 0.0000
2 Pr 0.7500 0.2500 0.5000
3 Ag 0.2500 0.7500 0.5000
4 Ag 0.5000 0.5000 0.0000
5 Br 0.0153 0.9743 0.6176
6 Br 0.0257 0.6432 0.0409
7 Br 0.1227 0.2726 0.5669
8 Br 0.3568 0.3977 0.3824
9 Br 0.4442 0.8773 0.1499
10 Br 0.6023 0.9847 0.9591
11 Br 0.7057 0.5558 0.4331
12 Br 0.7274 0.2943 0.8501



# 5
Diffraction record for KAgPtBr6. The powder X-ray diffraction pattern is calculated, not measured: it uses a DFT-relaxed cell (PBE, Alexandria) and λ = 1.5418 Å (Cu Kα).
Lines closer than 0.1° are merged.

The 12 most intense peaks (2θ = 10–80°), in order of rising 2θ:
| 2θ/deg | d (Å) | I_rel |
| --- | --- | --- |
| 12.6 | 7.035 | 92 |
| 14.3 | 6.199 | 64 |
| 19.1 | 4.651 | 73 |
| 28.0 | 3.190 | 100 |
| 35.8 | 2.509 | 93 |
| 38.7 | 2.326 | 15 |
| 40.6 | 2.223 | 33 |
| 43.8 | 2.066 | 40 |
| 45.8 | 1.983 | 19 |
| 46.3 | 1.962 | 34 |
| 46.6 | 1.950 | 13 |
| 57.8 | 1.595 | 18 |

Structure:
Lattice parameters (Å, degrees): 7.1604 7.1604 7.0353 90.03 90.03 120.07
Element x y z (fractional)
1 K 0.0000 0.0000 0.0000
2 Ag 0.6664 0.3336 0.5000
3 Pt 0.3332 0.6668 0.5000
4 Br 0.0391 0.3892 0.2935
5 Br 0.0394 0.6501 0.7061
6 Br 0.3496 0.3895 0.7060
7 Br 0.3499 0.9606 0.2939
8 Br 0.6105 0.6504 0.2940
9 Br 0.6108 0.9609 0.7065



# 6
Diffraction record for KRb4Ag3Br12. The powder X-ray diffraction pattern is calculated, not measured: it uses a DFT-relaxed cell (PBE, Alexandria) and λ = 1.5418 Å (Cu Kα).
Lines closer than 0.1° are merged.

The 12 most intense peaks (2θ = 10–80°), in order of rising 2θ:
| 2θ/deg | d (Å) | I_rel |
| --- | --- | --- |
| 11.2 | 7.913 | 11 |
| 15.8 | 5.595 | 27 |
| 22.5 | 3.956 | 29 |
| 27.6 | 3.230 | 61 |
| 32.0 | 2.798 | 100 |
| 35.9 | 2.502 | 12 |
| 39.5 | 2.284 | 12 |
| 45.9 | 1.978 | 69 |
| 54.4 | 1.687 | 24 |
| 57.0 | 1.615 | 23 |
| 66.9 | 1.399 | 10 |
| 76.1 | 1.251 | 28 |

Structure:
Lattice parameters (Å, degrees): 9.6909 9.6909 9.6909 109.47 109.47 109.47
Element x y z (fractional)
1 K 0.0000 0.0000 0.0000
2 Rb 0.0000 0.0000 0.5000
3 Rb 0.0000 0.5000 0.0000
4 Rb 0.5000 0.0000 0.0000
5 Rb 0.5000 0.5000 0.5000
6 Ag 0.0000 0.5000 0.5000
7 Ag 0.5000 0.0000 0.5000
8 Ag 0.5000 0.5000 0.0000
9 Br 0.0000 0.2719 0.2719
10 Br 0.0000 0.7281 0.7281
11 Br 0.2500 0.5000 0.7500
12 Br 0.2500 0.7500 0.5000
13 Br 0.2719 0.0000 0.2719
14 Br 0.2719 0.2719 0.0000
15 Br 0.5000 0.2500 0.7500
16 Br 0.5000 0.7500 0.2500
17 Br 0.7281 0.0000 0.7281
18 Br 0.7281 0.7281 0.0000
19 Br 0.7500 0.2500 0.5000
20 Br 0.7500 0.5000 0.2500



# 7
Diffraction record for K3Ag2SbBr9. The powder X-ray diffraction pattern is calculated, not measured: it uses a DFT-relaxed cell (PBE, Alexandria) and λ = 1.5418 Å (Cu Kα).
Lines closer than 0.1° are merged.

The 12 most intense peaks (2θ = 10–80°), in order of rising 2θ:
| 2θ/deg | d (Å) | I_rel |
| --- | --- | --- |
| 16.0 | 5.554 | 89 |
| 27.9 | 3.199 | 28 |
| 32.2 | 2.777 | 100 |
| 36.1 | 2.491 | 28 |
| 36.3 | 2.477 | 23 |
| 46.1 | 1.970 | 32 |
| 46.4 | 1.957 | 36 |
| 49.2 | 1.851 | 11 |
| 57.6 | 1.600 | 18 |
| 67.5 | 1.389 | 10 |
| 76.5 | 1.245 | 13 |
| 77.0 | 1.239 | 15 |

Structure:
Lattice parameters (Å, degrees): 7.8281 7.8281 9.6856 90.00 90.00 120.00
Element x y z (fractional)
1 K 0.0000 0.0000 0.0000
2 K 0.3333 0.6667 0.7280
3 K 0.6667 0.3333 0.2720
4 Ag 0.3333 0.6667 0.1608
5 Ag 0.6667 0.3333 0.8392
6 Sb 0.0000 0.0000 0.5000
7 Br 0.0000 0.5000 0.0000
8 Br 0.1649 0.3298 0.3317
9 Br 0.1649 0.8351 0.3317
10 Br 0.3298 0.1649 0.6683
11 Br 0.5000 0.0000 0.0000
12 Br 0.5000 0.5000 0.0000
13 Br 0.6702 0.8351 0.3317
14 Br 0.8351 0.1649 0.6683
15 Br 0.8351 0.6702 0.6683



# 8
Diffraction record for K2TaAgBr6. The powder X-ray diffraction pattern is calculated, not measured: it uses a DFT-relaxed cell (PBE, Alexandria) and λ = 1.5418 Å (Cu Kα).
Lines closer than 0.1° are merged.

The 12 most intense peaks (2θ = 10–80°), in order of rising 2θ:
| 2θ/deg | d (Å) | I_rel |
| --- | --- | --- |
| 16.2 | 5.466 | 100 |
| 23.0 | 3.865 | 29 |
| 28.3 | 3.156 | 21 |
| 32.8 | 2.733 | 97 |
| 36.8 | 2.445 | 52 |
| 40.4 | 2.232 | 12 |
| 47.0 | 1.933 | 68 |
| 50.1 | 1.822 | 27 |
| 58.5 | 1.578 | 23 |
| 61.1 | 1.516 | 13 |
| 71.1 | 1.326 | 15 |
| 78.2 | 1.222 | 29 |

Structure:
Lattice parameters (Å, degrees): 7.7303 7.7303 7.7303 60.00 60.00 60.00
Element x y z (fractional)
1 K 0.2500 0.2500 0.2500
2 K 0.7500 0.7500 0.7500
3 Ta 0.0000 0.0000 0.0000
4 Ag 0.5000 0.5000 0.5000
5 Br 0.2408 0.2408 0.7592
6 Br 0.2408 0.7592 0.2408
7 Br 0.2408 0.7592 0.7592
8 Br 0.7592 0.2408 0.2408
9 Br 0.7592 0.2408 0.7592
10 Br 0.7592 0.7592 0.2408



# 9
Diffraction record for KTbAgBr6. The powder X-ray diffraction pattern is calculated, not measured: it uses a DFT-relaxed cell (PBE, Alexandria) and λ = 1.5418 Å (Cu Kα).
Lines closer than 0.1° are merged.

The 12 most intense peaks (2θ = 10–80°), in order of rising 2θ:
| 2θ/deg | d (Å) | I_rel |
| --- | --- | --- |
| 12.0 | 7.347 | 100 |
| 13.8 | 6.416 | 38 |
| 17.7 | 5.004 | 26 |
| 19.0 | 4.678 | 27 |
| 19.1 | 4.647 | 36 |
| 25.5 | 3.489 | 68 |
| 28.4 | 3.143 | 95 |
| 32.5 | 2.753 | 37 |
| 34.5 | 2.598 | 29 |
| 35.9 | 2.502 | 79 |
| 42.3 | 2.139 | 48 |
| 44.2 | 2.050 | 34 |

Structure:
Lattice parameters (Å, degrees): 7.1059 7.1085 7.3709 92.44 92.49 115.19
Element x y z (fractional)
1 K 0.0000 0.0000 0.0000
2 Tb 0.3303 0.6703 0.5008
3 Ag 0.6768 0.3232 0.5007
4 Br 0.0166 0.3567 0.6933
5 Br 0.0195 0.6286 0.2477
6 Br 0.3732 0.9801 0.7551
7 Br 0.3990 0.3671 0.2751
8 Br 0.6328 0.6002 0.7267
9 Br 0.6439 0.9838 0.3085



# 10
Diffraction record for K2TbAg2Br6. The powder X-ray diffraction pattern is calculated, not measured: it uses a DFT-relaxed cell (PBE, Alexandria) and λ = 1.5418 Å (Cu Kα).
Lines closer than 0.1° are merged.

The 12 most intense peaks (2θ = 10–80°), in order of rising 2θ:
| 2θ/deg | d (Å) | I_rel |
| --- | --- | --- |
| 15.0 | 5.908 | 100 |
| 15.6 | 5.688 | 45 |
| 23.3 | 3.826 | 64 |
| 23.7 | 3.747 | 52 |
| 25.7 | 3.469 | 45 |
| 32.0 | 2.798 | 63 |
| 36.0 | 2.492 | 34 |
| 36.3 | 2.475 | 27 |
| 38.6 | 2.331 | 27 |
| 41.2 | 2.191 | 42 |
| 43.0 | 2.105 | 32 |
| 44.6 | 2.032 | 35 |

Structure:
Lattice parameters (Å, degrees): 7.7001 7.7001 8.4737 113.21 113.21 66.29
Element x y z (fractional)
1 K 0.2202 0.2202 0.1406
2 K 0.7798 0.7798 0.8594
3 Tb 0.0000 0.0000 0.5000
4 Ag 0.4436 0.4436 0.8176
5 Ag 0.5564 0.5564 0.1824
6 Br 0.1609 0.6995 0.2239
7 Br 0.2268 0.2268 0.5299
8 Br 0.3005 0.8391 0.7761
9 Br 0.6995 0.1609 0.2239
10 Br 0.7732 0.7732 0.4701
11 Br 0.8391 0.3005 0.7761



# 11
Diffraction record for KThAgBr6. The powder X-ray diffraction pattern is calculated, not measured: it uses a DFT-relaxed cell (PBE, Alexandria) and λ = 1.5418 Å (Cu Kα).
Lines closer than 0.1° are merged.

The 12 most intense peaks (2θ = 10–80°), in order of rising 2θ:
| 2θ/deg | d (Å) | I_rel |
| --- | --- | --- |
| 11.9 | 7.431 | 63 |
| 13.9 | 6.391 | 29 |
| 15.1 | 5.871 | 17 |
| 18.3 | 4.845 | 51 |
| 27.0 | 3.305 | 100 |
| 34.3 | 2.618 | 87 |
| 39.2 | 2.297 | 18 |
| 42.4 | 2.130 | 42 |
| 44.0 | 2.057 | 34 |
| 55.6 | 1.652 | 19 |
| 66.8 | 1.400 | 17 |
| 72.4 | 1.306 | 17 |

Structure:
Lattice parameters (Å, degrees): 7.3791 7.3791 14.8624 90.00 90.00 120.00
Element x y z (fractional)
1 K 0.0000 0.0000 0.0000
2 K 0.0000 0.0000 0.5000
3 Th 0.3333 0.6667 0.2500
4 Th 0.6667 0.3333 0.7500
5 Ag 0.3333 0.6667 0.7500
6 Ag 0.6667 0.3333 0.2500
7 Br 0.0074 0.3647 0.1375
8 Br 0.0074 0.6427 0.3625
9 Br 0.3573 0.3647 0.3625
10 Br 0.3573 0.9926 0.1375
11 Br 0.3647 0.0074 0.6375
12 Br 0.3647 0.3573 0.8625
13 Br 0.6353 0.6427 0.1375
14 Br 0.6353 0.9926 0.3625
15 Br 0.6427 0.0074 0.8625
16 Br 0.6427 0.6353 0.6375
17 Br 0.9926 0.3573 0.6375
18 Br 0.9926 0.6353 0.8625



# 12
Diffraction record for K2TlAg2Br7. The powder X-ray diffraction pattern is calculated, not measured: it uses a DFT-relaxed cell (PBE, Alexandria) and λ = 1.5418 Å (Cu Kα).
Lines closer than 0.1° are merged.

The 12 most intense peaks (2θ = 10–80°), in order of rising 2θ:
| 2θ/deg | d (Å) | I_rel |
| --- | --- | --- |
| 19.1 | 4.642 | 37 |
| 23.2 | 3.830 | 62 |
| 26.8 | 3.332 | 39 |
| 28.4 | 3.137 | 26 |
| 30.7 | 2.915 | 58 |
| 33.0 | 2.712 | 100 |
| 33.3 | 2.692 | 41 |
| 44.1 | 2.052 | 16 |
| 47.4 | 1.917 | 35 |
| 47.6 | 1.911 | 59 |
| 57.5 | 1.602 | 19 |
| 59.2 | 1.562 | 30 |

Structure:
Lattice parameters (Å, degrees): 5.4233 5.4233 13.9973 101.17 101.17 89.99
Element x y z (fractional)
1 K 0.1789 0.1789 0.3557
2 K 0.8211 0.8211 0.6443
3 Tl 0.0000 0.0000 0.0000
4 Ag 0.4001 0.4001 0.8001
5 Ag 0.5999 0.5999 0.1999
6 Br 0.0941 0.5945 0.1882
7 Br 0.3010 0.3010 0.6006
8 Br 0.4055 0.9059 0.8118
9 Br 0.5000 0.5000 0.0000
10 Br 0.5945 0.0941 0.1882
11 Br 0.6990 0.6990 0.3994
12 Br 0.9059 0.4055 0.8118



What did the fifth record say?
Diffraction record for KAgPtBr6. The powder X-ray diffraction pattern is calculated, not measured: it uses a DFT-relaxed cell (PBE, Alexandria) and λ = 1.5418 Å (Cu Kα).
Lines closer than 0.1° are merged.

The 12 most intense peaks (2θ = 10–80°), in order of rising 2θ:
| 2θ/deg | d (Å) | I_rel |
| --- | --- | --- |
| 12.6 | 7.035 | 92 |
| 14.3 | 6.199 | 64 |
| 19.1 | 4.651 | 73 |
| 28.0 | 3.190 | 100 |
| 35.8 | 2.509 | 93 |
| 38.7 | 2.326 | 15 |
| 40.6 | 2.223 | 33 |
| 43.8 | 2.066 | 40 |
| 45.8 | 1.983 | 19 |
| 46.3 | 1.962 | 34 |
| 46.6 | 1.950 | 13 |
| 57.8 | 1.595 | 18 |

Structure:
Lattice parameters (Å, degrees): 7.1604 7.1604 7.0353 90.03 90.03 120.07
Element x y z (fractional)
1 K 0.0000 0.0000 0.0000
2 Ag 0.6664 0.3336 0.5000
3 Pt 0.3332 0.6668 0.5000
4 Br 0.0391 0.3892 0.2935
5 Br 0.0394 0.6501 0.7061
6 Br 0.3496 0.3895 0.7060
7 Br 0.3499 0.9606 0.2939
8 Br 0.6105 0.6504 0.2940
9 Br 0.6108 0.9609 0.7065